This entry pairs a crystal structure of Fe2TcO6 with its calculated powder X-ray diffraction pattern. Radiation: copper Kα. Structure: a GGA+U-relaxed structure.

Crystal structure
a = 3.4624 Å, b = 4.9003 Å, c = 10.4126 Å
α = 90.00°, β = 90.00°, γ = 90.00°
Space group Immm (No. 71)
Asymmetric unit:
Fe 0.0000 0.0000 0.1696 (multiplicity 4)
Tc 0.0000 0.0000 0.5000 (multiplicity 2)
O 0.0000 0.2462 0.3387 (multiplicity 8)
O 0.0000 0.2611 0.0000 (multiplicity 4)

Peak list (10 most intense, 10° ≤ 2θ ≤ 90°, low angle first)
| two_theta | d [Å] | intensity | index |
| --- | --- | --- | --- |
| 17.03 | 5.206 | 4 | 0 0 2 |
| 20.03 | 4.434 | 7 | 0 1 1 |
| 31.61 | 2.830 | 100 | 0 1 3 |
| 36.67 | 2.451 | 15 | 0 2 0 |
| 52.81 | 1.733 | 53 | 1 2 3 |
| 52.89 | 1.731 | 11 | 2 0 0 |
| 62.88 | 1.478 | 38 | 1 3 0 |
| 77.97 | 1.225 | 9 | 0 4 0 |
| 86.56 | 1.124 | 10 | 1 3 6 |
| 89.40 | 1.096 | 4 | 1 4 3 |